Theoretical XRD peak list of Cs8K3Rb3 for Cu Kα, from a DFT-relaxed cell (GGA-PBE, Alexandria).
Neutral-atom scattering factors, no anomalous dispersion.

Crystal structure
```
data_Cs8K3Rb3
_cell_length_a 24.841
_cell_length_b 8.247
_cell_length_c 17.474
_cell_angle_alpha 90.00
_cell_angle_beta 128.70
_cell_angle_gamma 90.00
_symmetry_space_group_name_H-M 'C 1 2/m 1'
_symmetry_Int_Tables_number 12
loop_
_symmetry_equiv_pos_as_xyz
'x,y,z'
'-x,-y,-z'
'-x,y,-z'
'x,-y,z'
'x+1/2,y+1/2,z'
'-x+1/2,-y+1/2,-z'
'-x+1/2,y+1/2,-z'
'x+1/2,-y+1/2,z'
loop_
_atom_site_label
_atom_site_type_symbol
_atom_site_fract_x
_atom_site_fract_y
_atom_site_fract_z
Cs1 Cs 0.061 0.000 0.279
Cs2 Cs 0.136 0.500 0.577
Cs3 Cs 0.208 0.500 0.351
Cs4 Cs 0.215 0.000 0.865
K1 K 0.000 0.500 0.000
K2 K 0.070 0.500 0.797
Rb1 Rb 0.000 0.000 0.500
Rb2 Rb 0.136 0.000 0.073
```

Top 10 peaks for 2θ from 5° to 70°, most intense first:
| two_theta | I (rel.) | hkl |
| --- | --- | --- |
| 21.48 | 100 | 3 1 1 |
| 21.55 | 51 | 0 2 0 |
| 37.74 | 28 | 3 3 1 |
| 37.65 | 22 | 1 1 5 |
| 30.67 | 21 | 2 2 -4 |
| 49.44 | 15 | 2 4 -4 |
| 59.23 | 14 | 3 5 1 |
| 37.83 | 10 | 7 1 -7 |
| 30.46 | 10 | 8 0 -2 |
| 43.92 | 8 | 0 4 0 |

---

Theoretical XRD peak list of Pr3Nd2Tl4 for Cu Kα, from a DFT-relaxed cell (GGA-PBE, Alexandria).
Neutral-atom scattering factors, no anomalous dispersion.

Crystal structure
```
data_Pr3Nd2Tl4
_cell_length_a 7.501
_cell_length_b 16.216
_cell_length_c 9.799
_cell_angle_alpha 90.00
_cell_angle_beta 90.00
_cell_angle_gamma 90.00
_symmetry_space_group_name_H-M 'C m c e'
_symmetry_Int_Tables_number 64
_symmetry_space_group_name_Hall '-C 2ac 2'
loop_
_atom_site_label
_atom_site_type_symbol
_atom_site_fract_x
_atom_site_fract_y
_atom_site_fract_z
Pr1 Pr 0.000 0.000 0.000
Pr2 Pr 0.250 0.219 0.250
Nd1 Nd 0.000 0.106 0.563
Tl1 Tl 0.000 0.193 0.973
Tl2 Tl 0.250 0.019 0.250
```

Top 10 peaks for 2θ from 5° to 70°, most intense first:
| two_theta | I (rel.) | hkl |
| --- | --- | --- |
| 30.01 | 100 | 2 0 2 |
| 31.41 | 56 | 1 5 1 |
| 36.68 | 19 | 0 0 4 |
| 46.81 | 19 | 3 5 1 |
| 29.48 | 19 | 0 2 3 |
| 37.47 | 18 | 2 4 2 |
| 48.56 | 17 | 4 0 0 |
| 28.58 | 17 | 0 4 2 |
| 42.24 | 16 | 2 6 1 |
| 32.52 | 16 | 2 4 0 |

---

Theoretical XRD peak list of La2BeTc for Cu Kα, from a DFT-relaxed cell (GGA-PBE, Alexandria).
Neutral-atom scattering factors, no anomalous dispersion.

Crystal structure
```
data_La2BeTc
_cell_length_a 16.822
_cell_length_b 3.561
_cell_length_c 6.391
_cell_angle_alpha 90.00
_cell_angle_beta 103.21
_cell_angle_gamma 90.00
_symmetry_space_group_name_H-M 'C 1 2/m 1'
_symmetry_Int_Tables_number 12
loop_
_symmetry_equiv_pos_as_xyz
'x,y,z'
'-x,-y,-z'
'-x,y,-z'
'x,-y,z'
'x+1/2,y+1/2,z'
'-x+1/2,-y+1/2,-z'
'-x+1/2,y+1/2,-z'
'x+1/2,-y+1/2,z'
loop_
_atom_site_label
_atom_site_type_symbol
_atom_site_fract_x
_atom_site_fract_y
_atom_site_fract_z
La1 La 0.134 0.000 0.334
La2 La 0.167 0.500 0.847
Be1 Be 0.000 0.500 0.000
Be2 Be 0.000 0.500 0.500
Tc1 Tc 0.024 0.000 0.765
```

Top 10 peaks for 2θ from 5° to 70°, most intense first:
| two_theta | I (rel.) | hkl |
| --- | --- | --- |
| 30.02 | 100 | 1 1 1 |
| 28.26 | 69 | 2 0 -2 |
| 37.68 | 53 | 5 1 -1 |
| 28.72 | 47 | 0 0 2 |
| 42.43 | 39 | 5 1 1 |
| 31.61 | 34 | 3 1 -1 |
| 32.81 | 34 | 6 0 0 |
| 25.60 | 28 | 1 1 0 |
| 51.32 | 22 | 0 2 0 |
| 38.94 | 22 | 6 0 1 |

---

Theoretical XRD peak list of KTiTcO6 for Cu Kα, from a DFT-relaxed cell (GGA-PBE, Alexandria).
Neutral-atom scattering factors, no anomalous dispersion.

Crystal structure
```
data_KTiTcO6
_cell_length_a 5.2265
_cell_length_b 5.2265
_cell_length_c 5.9518
_cell_angle_alpha 90.00
_cell_angle_beta 90.00
_cell_angle_gamma 120.00
_symmetry_space_group_name_H-M 'P 3'
_symmetry_Int_Tables_number 143
loop_
_symmetry_equiv_pos_as_xyz
'x,y,z'
'-y,x-y,z'
'-x+y,-x,z'
loop_
_atom_site_label
_atom_site_type_symbol
_atom_site_fract_x
_atom_site_fract_y
_atom_site_fract_z
K1 K 0.0000 0.0000 0.0000
Ti1 Ti 0.3333 0.6667 0.5704
Tc1 Tc 0.6667 0.3333 0.4823
O1 O 0.3923 0.3851 0.3373
O2 O 0.4138 0.0170 0.7063
```

Top 10 peaks for 2θ from 5° to 70°, most intense first:
| two_theta | I (rel.) | hkl |
| --- | --- | --- |
| 24.71 | 100 | 1 0 1 |
| 14.88 | 66 | 0 0 1 |
| 46.23 | 39 | 2 -1 2 |
| 19.61 | 26 | 1 0 0 |
| 34.32 | 24 | 1 1 0 |
| 37.59 | 21 | 2 -1 1 |
| 55.92 | 18 | 3 -1 1 |
| 42.75 | 15 | 0 2 1 |
| 50.21 | 12 | 1 0 3 |
| 36.12 | 12 | 1 0 2 |

---

What is the formula in the first record?
Cs8K3Rb3